The following is a simulated powder XRD pattern of Li4Ce3CuSe8. It was derived from a cell relaxed with PBE, using copper Kα.
Kinematic intensities with the Lorentz-polarization factor, no thermal factor.

Top 10 peaks for 10 to 90 degrees two-theta, most intense first:
2θ 31.5, intensity 100
2θ 13.8, intensity 57
2θ 31.0, intensity 53
2θ 44.1, intensity 39
2θ 45.5, intensity 35
2θ 25.7, intensity 27
2θ 34.4, intensity 22
2θ 55.5, intensity 19
2θ 44.8, intensity 18
2θ 45.6, intensity 18

Cell and atoms:
```
16
Lattice="6.880 -4.047 0.000 6.880 4.047 0.000 -4.335 0.000 6.680" Properties=species:S:1:pos:R:3 pbc="T T T"
Li 0.000 0.000 0.000
Li 1.272 2.024 3.340
Li 1.272 -2.024 3.340
Li 6.880 0.000 0.000
Ce -2.168 0.000 3.340
Ce 3.440 2.024 0.000
Ce 3.440 -2.024 0.000
Cu 4.713 0.000 3.340
Se 2.235 0.000 1.632
Se 0.266 0.000 4.950
Se 5.759 1.899 1.726
Se 3.666 1.899 4.954
Se 5.759 -1.899 1.726
Se 3.666 -1.899 4.954
Se 9.159 0.000 1.729
Se 7.190 0.000 5.048
```

The following is a simulated powder XRD pattern of Sm6As2S3. It was derived from a cell relaxed with PBE, using copper Kα.
Kinematic intensities with the Lorentz-polarization factor, no thermal factor.

Top 10 peaks for 10 to 90 degrees two-theta, most intense first:
2θ 28.9, intensity 100
2θ 36.8, intensity 42
2θ 45.6, intensity 31
2θ 47.5, intensity 26
2θ 74.0, intensity 21
2θ 53.1, intensity 20
2θ 25.8, intensity 18
2θ 54.9, intensity 17
2θ 72.5, intensity 16
2θ 60.0, intensity 11

Cell and atoms:
```
11
Lattice="6.899 0.000 0.000 -3.449 5.974 0.000 0.000 0.000 6.904" Properties=species:S:1:pos:R:3 pbc="T T T"
Sm -1.141 1.977 1.714
Sm -2.308 3.997 5.190
Sm 2.283 0.000 1.714
Sm 1.141 1.977 5.190
Sm 4.616 0.000 5.190
Sm 2.308 3.997 1.714
As 0.000 3.983 3.452
As 3.449 1.991 3.452
S 0.000 0.000 3.452
S 0.000 3.983 0.000
S 3.449 1.991 0.000
```

The following is a simulated powder XRD pattern of Ba6Bi2AsP. It was derived from a cell relaxed with PBE, using copper Kα.
Kinematic intensities with the Lorentz-polarization factor, no thermal factor.

Top 10 peaks for 10 to 90 degrees two-theta, most intense first:
2θ 24.6, intensity 100
2θ 24.7, intensity 59
2θ 36.9, intensity 54
2θ 32.6, intensity 53
2θ 25.9, intensity 44
2θ 26.5, intensity 43
2θ 29.2, intensity 40
2θ 26.9, intensity 38
2θ 29.6, intensity 31
2θ 30.1, intensity 28

Cell and atoms:
```
20
Lattice="8.369 0.000 0.000 0.000 8.990 0.000 -8.361 0.000 12.071" Properties=species:S:1:pos:R:3 pbc="T T T"
Ba -0.992 0.471 2.985
Ba -5.172 4.023 9.021
Ba 1.560 6.252 0.735
Ba -2.621 7.232 6.771
Ba 2.581 1.709 0.718
Ba -1.600 2.786 6.753
Ba 1.608 6.204 5.318
Ba -2.572 7.280 11.353
Ba 2.629 1.757 5.300
Ba -1.551 2.738 11.336
Ba 5.180 4.966 3.050
Ba 1.000 8.518 9.086
Bi -3.961 0.676 9.057
Bi 0.220 3.819 3.022
Bi -0.212 5.170 9.049
Bi 3.969 8.314 3.014
As 0.004 0.000 6.035
As 4.184 4.495 0.000
P 0.000 0.000 0.000
P -4.180 4.495 6.035
```

The following is a simulated powder XRD pattern of LiCo2Rh2. It was derived from a cell relaxed with PBE, using copper Kα.
Kinematic intensities with the Lorentz-polarization factor, no thermal factor.

Top 10 peaks for 10 to 90 degrees two-theta, most intense first:
2θ 44.2, intensity 100
2θ 17.2, intensity 73
2θ 39.1, intensity 38
2θ 50.0, intensity 20
2θ 79.7, intensity 20
2θ 53.3, intensity 14
2θ 57.5, intensity 13
2θ 44.8, intensity 13
2θ 27.4, intensity 11
2θ 24.4, intensity 11

Cell and atoms:
```
10
Lattice="7.290 0.000 0.000 0.000 7.290 0.000 0.000 0.000 2.631" Properties=species:S:1:pos:R:3 pbc="T T T"
Li 0.000 0.000 0.000
Li 3.645 3.645 0.000
Co 1.207 2.439 1.315
Co 2.439 6.084 1.315
Co 4.852 1.207 1.315
Co 6.084 4.852 1.315
Rh 0.958 4.603 0.000
Rh 2.687 0.958 0.000
Rh 4.603 6.332 0.000
Rh 6.332 2.687 0.000
```

The following is a simulated powder XRD pattern of HoFeC. It was derived from a cell relaxed with PBE, using copper Kα.
Kinematic intensities with the Lorentz-polarization factor, no thermal factor.

Top 10 peaks for 10 to 90 degrees two-theta, most intense first:
2θ 32.6, intensity 100
2θ 28.1, intensity 35
2θ 33.4, intensity 35
2θ 33.5, intensity 34
2θ 43.9, intensity 34
2θ 34.3, intensity 30
2θ 58.1, intensity 21
2θ 34.9, intensity 19
2θ 49.8, intensity 18
2θ 45.0, intensity 18

Cell and atoms:
```
6
Lattice="5.434 0.000 0.000 0.000 3.239 0.000 -1.768 0.000 5.173" Properties=species:S:1:pos:R:3 pbc="T T T"
Ho 0.547 0.810 1.714
Ho 3.118 2.429 3.460
Fe 0.439 2.429 4.419
Fe 3.227 0.810 0.754
C 1.341 0.810 4.012
C 2.325 2.429 1.161
```

The following is a simulated powder XRD pattern of TlGe2Pd7. It was derived from a cell relaxed with PBE, using copper Kα.
Kinematic intensities with the Lorentz-polarization factor, no thermal factor.

Top 10 peaks for 10 to 90 degrees two-theta, most intense first:
2θ 41.2, intensity 100
2θ 44.3, intensity 51
2θ 79.4, intensity 29
2θ 35.8, intensity 26
2θ 25.5, intensity 21
2θ 32.2, intensity 21
2θ 64.4, intensity 17
2θ 35.6, intensity 14
2θ 58.1, intensity 14
2θ 73.4, intensity 12

Cell and atoms:
```
10
Lattice="-2.046 2.046 10.088 2.046 -2.046 10.088 2.046 2.046 -10.088" Properties=species:S:1:pos:R:3 pbc="T T T"
Tl 0.000 0.000 0.000
Ge 0.000 0.000 6.571
Ge 0.000 0.000 13.606
Pd 2.046 0.000 2.087
Pd 2.046 0.000 5.044
Pd 2.046 0.000 8.002
Pd 0.000 0.000 10.088
Pd 0.000 2.046 2.087
Pd 0.000 2.046 5.044
Pd 0.000 2.046 8.002
```